Calculated XRD peak list
Compound: Nd3Sb4Rh8
Radiation: Cu Kα (weighted mean of Kα1 and Kα2)
Structure: a crystal structure in Alexandria, relaxed with GGA-PBE

Crystal structure
Lattice parameters (Å, degrees): 9.3179 9.3179 9.3179 60.00 60.00 60.00
Element x y z (fractional)
Nd1 0.2277 0.2277 0.7723
Nd2 0.2277 0.7723 0.2277
Nd3 0.2277 0.7723 0.7723
Nd4 0.7723 0.2277 0.2277
Nd5 0.7723 0.2277 0.7723
Nd6 0.7723 0.7723 0.2277
Sb1 0.0000 0.0000 0.0000
Sb2 0.0000 0.0000 0.5000
Sb3 0.0000 0.5000 0.0000
Sb4 0.0000 0.5000 0.5000
Sb5 0.5000 0.0000 0.0000
Sb6 0.5000 0.0000 0.5000
Sb7 0.5000 0.5000 0.0000
Sb8 0.5000 0.5000 0.5000
Rh1 0.1349 0.6217 0.6217
Rh2 0.1677 0.1677 0.1677
Rh3 0.1677 0.1677 0.4969
Rh4 0.1677 0.4969 0.1677
Rh5 0.3783 0.3783 0.3783
Rh6 0.3783 0.3783 0.8651
Rh7 0.3783 0.8651 0.3783
Rh8 0.4969 0.1677 0.1677
Rh9 0.5031 0.8323 0.8323
Rh10 0.6217 0.1349 0.6217
Rh11 0.6217 0.6217 0.1349
Rh12 0.6217 0.6217 0.6217
Rh13 0.8323 0.5031 0.8323
Rh14 0.8323 0.8323 0.5031
Rh15 0.8323 0.8323 0.8323
Rh16 0.8651 0.3783 0.3783

Most intense lines, 10° ≤ 2θ ≤ 80°, by intensity:
2θ/deg, I/Imax
38.7, 100
35.4, 27
69.9, 23
55.8, 9
30.3, 9
67.8, 9
40.5, 8
45.1, 8
41.1, 7
43.4, 7

Calculated XRD peak list
Compound: NdSb2Rh4
Radiation: Cu Kα (weighted mean of Kα1 and Kα2)
Structure: a crystal structure in Alexandria, relaxed with GGA-PBE

Crystal structure
Lattice parameters (Å, degrees): 8.0217 8.0217 4.1288 90.00 90.00 90.00
Element x y z (fractional)
Nd1 0.0000 0.0000 0.0000
Nd2 0.5000 0.5000 0.5000
Sb1 0.2234 0.2234 0.5000
Sb2 0.2766 0.7234 0.0000
Sb3 0.7234 0.2766 0.0000
Sb4 0.7766 0.7766 0.5000
Rh1 0.0831 0.6522 0.5000
Rh2 0.1522 0.4169 0.0000
Rh3 0.3478 0.9169 0.5000
Rh4 0.4169 0.1522 0.0000
Rh5 0.5831 0.8478 0.0000
Rh6 0.6522 0.0831 0.5000
Rh7 0.8478 0.5831 0.0000
Rh8 0.9169 0.3478 0.5000

Most intense lines, 10° ≤ 2θ ≤ 80°, by intensity:
2θ/deg, I/Imax
33.1, 100
41.8, 94
38.5, 49
35.4, 41
43.9, 40
46.7, 27
31.5, 25
62.1, 22
57.6, 20
66.0, 19

Calculated XRD peak list
Compound: Nd7Sb2Rh2
Radiation: Cu Kα (weighted mean of Kα1 and Kα2)
Structure: a crystal structure in Alexandria, relaxed with GGA-PBE

Crystal structure
Lattice parameters (Å, degrees): 7.0661 7.0661 7.1460 90.00 90.00 104.22
Element x y z (fractional)
Nd1 0.0000 0.0000 0.0000
Nd2 0.0000 0.5000 0.2539
Nd3 0.0000 0.5000 0.7461
Nd4 0.5000 0.0000 0.2539
Nd5 0.5000 0.0000 0.7461
Nd6 0.5000 0.5000 0.2377
Nd7 0.5000 0.5000 0.7623
Sb1 0.1934 0.1934 0.5000
Sb2 0.8066 0.8066 0.5000
Rh1 0.2776 0.7224 0.0000
Rh2 0.7224 0.2776 0.0000

Most intense lines, 10° ≤ 2θ ≤ 80°, by intensity:
2θ/deg, I/Imax
36.3, 100
32.1, 44
24.0, 31
26.0, 30
28.2, 28
41.6, 17
53.5, 16
60.0, 15
61.7, 15
40.5, 13

Calculated XRD peak list
Compound: NdSb2Rh
Radiation: Cu Kα (weighted mean of Kα1 and Kα2)
Structure: a crystal structure in Alexandria, relaxed with GGA-PBE

Crystal structure
Lattice parameters (Å, degrees): 4.4220 4.4220 20.0468 90.00 90.00 90.00
Element x y z (fractional)
Nd1 0.0000 0.0000 0.1260
Nd2 0.0000 0.0000 0.8740
Nd3 0.5000 0.5000 0.3740
Nd4 0.5000 0.5000 0.6260
Sb1 0.0000 0.0000 0.3244
Sb2 0.0000 0.0000 0.6756
Sb3 0.0000 0.5000 0.0000
Sb4 0.0000 0.5000 0.5000
Sb5 0.5000 0.0000 0.0000
Sb6 0.5000 0.0000 0.5000
Sb7 0.5000 0.5000 0.1756
Sb8 0.5000 0.5000 0.8244
Rh1 0.0000 0.5000 0.2500
Rh2 0.0000 0.5000 0.7500
Rh3 0.5000 0.0000 0.2500
Rh4 0.5000 0.0000 0.7500

Most intense lines, 10° ≤ 2θ ≤ 80°, by intensity:
2θ/deg, I/Imax
33.8, 100
40.8, 43
30.1, 28
69.8, 24
59.1, 14
51.5, 13
55.4, 11
45.6, 11
35.8, 9
62.8, 8

Calculated XRD peak list
Compound: Nd4Sb2Rh
Radiation: Cu Kα (weighted mean of Kα1 and Kα2)
Structure: a crystal structure in Alexandria, relaxed with GGA-PBE

Crystal structure
Lattice parameters (Å, degrees): 16.0950 4.3738 7.4556 90.00 117.31 90.00
Element x y z (fractional)
Nd1 0.1151 0.0000 0.4282
Nd2 0.1165 0.5000 0.9750
Nd3 0.3835 0.0000 0.0250
Nd4 0.3849 0.5000 0.5718
Nd5 0.6151 0.5000 0.4282
Nd6 0.6165 0.0000 0.9750
Nd7 0.8835 0.5000 0.0250
Nd8 0.8849 0.0000 0.5718
Sb1 0.2358 0.5000 0.7345
Sb2 0.2642 0.0000 0.2655
Sb3 0.7358 0.0000 0.7345
Sb4 0.7642 0.5000 0.2655
Rh1 0.0000 0.0000 0.0000
Rh2 0.5000 0.5000 0.0000

Most intense lines, 10° ≤ 2θ ≤ 80°, by intensity:
2θ/deg, I/Imax
26.7, 100
34.6, 76
41.8, 43
27.0, 39
41.3, 25
34.7, 23
13.4, 19
50.0, 18
45.0, 15
55.0, 12

Calculated XRD peak list
Compound: Nd3Sb2Rh
Radiation: Cu Kα (weighted mean of Kα1 and Kα2)
Structure: a crystal structure in Alexandria, relaxed with GGA-PBE

Crystal structure
Lattice parameters (Å, degrees): 12.2957 4.5115 12.2191 90.00 90.00 90.00
Element x y z (fractional)
Nd1 0.0533 0.2500 0.1293
Nd2 0.1170 0.7500 0.5543
Nd3 0.2288 0.2500 0.8013
Nd4 0.2712 0.7500 0.3013
Nd5 0.3830 0.2500 0.0543
Nd6 0.4467 0.7500 0.6293
Nd7 0.5533 0.2500 0.3707
Nd8 0.6170 0.7500 0.9457
Nd9 0.7288 0.2500 0.6987
Nd10 0.7712 0.7500 0.1987
Nd11 0.8830 0.2500 0.4457
Nd12 0.9467 0.7500 0.8707
Sb1 0.0087 0.7500 0.3086
Sb2 0.1894 0.7500 0.9993
Sb3 0.3106 0.2500 0.4993
Sb4 0.4913 0.2500 0.8086
Sb5 0.5087 0.7500 0.1914
Sb6 0.6894 0.7500 0.5007
Sb7 0.8106 0.2500 0.0007
Sb8 0.9913 0.2500 0.6914
Rh1 0.1260 0.2500 0.3683
Rh2 0.3740 0.7500 0.8683
Rh3 0.6260 0.2500 0.1317
Rh4 0.8740 0.7500 0.6317

Most intense lines, 10° ≤ 2θ ≤ 80°, by intensity:
2θ/deg, I/Imax
29.5, 100
33.0, 90
40.0, 76
36.1, 72
28.6, 65
30.4, 54
38.5, 49
32.6, 35
30.1, 32
52.5, 29

Calculated XRD peak list
Compound: NdSb3Rh5
Radiation: Cu Kα (weighted mean of Kα1 and Kα2)
Structure: a crystal structure in Alexandria, relaxed with GGA-PBE

Crystal structure
Lattice parameters (Å, degrees): 7.1663 7.1663 13.2405 90.00 90.00 147.32
Element x y z (fractional)
Nd1 0.1058 0.8942 0.7500
Nd2 0.8942 0.1058 0.2500
Sb1 0.1278 0.8722 0.2500
Sb2 0.3786 0.6214 0.0391
Sb3 0.3786 0.6214 0.4609
Sb4 0.6214 0.3786 0.5391
Sb5 0.6214 0.3786 0.9609
Sb6 0.8722 0.1278 0.7500
Rh1 0.0000 0.0000 0.0000
Rh2 0.0000 0.0000 0.5000
Rh3 0.1960 0.8040 0.0677
Rh4 0.1960 0.8040 0.4323
Rh5 0.4573 0.5427 0.6458
Rh6 0.4573 0.5427 0.8542
Rh7 0.5427 0.4573 0.1458
Rh8 0.5427 0.4573 0.3542
Rh9 0.8040 0.1960 0.5677
Rh10 0.8040 0.1960 0.9323

Most intense lines, 10° ≤ 2θ ≤ 80°, by intensity:
2θ/deg, I/Imax
42.0, 100
45.0, 57
35.7, 54
32.5, 49
30.7, 46
41.3, 37
43.1, 36
12.9, 31
64.0, 23
37.7, 22